This entry pairs a crystal structure of MgTi with its calculated powder XRD pattern. Radiation: a wavelength of 1.5418 Å. Structure: the GGA-PBE geometry in the Materials Project.

Structure:
a = 4.7681 Å, b = 8.5567 Å, c = 8.5567 Å
α = 146.04°, β = 90.00°, γ = 90.00°
Element x y z (fractional)
Mg: 0.0000 0.0000 0.0000
Mg: 0.0000 0.3997 0.6088
Mg: 0.0000 0.6088 0.3997
Mg: 0.5000 0.0052 0.2164
Mg: 0.5000 0.2164 0.0052
Ti: 0.0000 0.1889 0.7723
Ti: 0.0000 0.7723 0.1889
Ti: 0.5000 0.4065 0.8169
Ti: 0.5000 0.6058 0.6058
Ti: 0.5000 0.8169 0.4065

Top 10 peaks for 5° ≤ 2θ ≤ 70°, sorted by position:
- 10.8 deg, 8.184 Å, I = 21.6
- 32.7 deg, 2.738 Å, I = 12.2
- 35.9 deg, 2.499 Å, I = 18.5
- 37.7 deg, 2.384 Å, I = 31.0
- 37.9 deg, 2.375 Å, I = 100.0
- 40.8 deg, 2.213 Å, I = 22.2
- 53.1 deg, 1.725 Å, I = 11.1
- 56.2 deg, 1.637 Å, I = 7.6
- 62.6 deg, 1.485 Å, I = 9.4
- 68.2 deg, 1.375 Å, I = 15.4